Entry 1:
Structure and theoretical X-ray powder pattern of Ho4CdIr (the PBE geometry in the Materials Project; λ = 1.5418 Å (Cu Kα)).

Main lines, by angle (5 to 70 degrees two-theta):
2theta  I/Imax
11.30  11
28.68  17
32.32  41
34.34  100
37.50  36
39.28  9
51.75  11
57.65  40
58.95  14
68.85  12

Structural model:
Lattice parameters (Å, degrees): 9.5945 9.5945 9.5945 60.00 60.00 60.00
Fractional coordinates of all 24 atoms:
Ho  0.1873  0.1873  0.8127
Ho  0.1873  0.8127  0.1873
Ho  0.1873  0.8127  0.8127
Ho  0.4009  0.4009  0.4009
Ho  0.4009  0.4009  0.7974
Ho  0.4009  0.7974  0.4009
Ho  0.5609  0.5609  0.9391
Ho  0.5609  0.9391  0.5609
Ho  0.5609  0.9391  0.9391
Ho  0.7974  0.4009  0.4009
Ho  0.8127  0.1873  0.1873
Ho  0.8127  0.1873  0.8127
Ho  0.8127  0.8127  0.1873
Ho  0.9391  0.5609  0.5609
Ho  0.9391  0.5609  0.9391
Ho  0.9391  0.9391  0.5609
Cd  0.1688  0.1688  0.1688
Cd  0.1688  0.1688  0.4935
Cd  0.1688  0.4935  0.1688
Cd  0.4935  0.1688  0.1688
Ir  0.1757  0.6081  0.6081
Ir  0.6081  0.1757  0.6081
Ir  0.6081  0.6081  0.1757
Ir  0.6081  0.6081  0.6081

Entry 2:
Structure and theoretical X-ray powder pattern of K2SiF6 (the PBE geometry in the Materials Project; λ = 1.5418 Å (Cu Kα)).

Main lines, by angle (5 to 70 degrees two-theta):
2theta  I/Imax
18.63  100
30.65  72
36.11  6
37.78  96
43.90  80
49.41  4
54.49  15
58.10  23
63.83  35
67.13  9

Structural model:
Lattice parameters (Å, degrees): 5.8333 5.8333 5.8333 60.00 60.00 60.00
Fractional coordinates of all 9 atoms:
K  0.2500  0.2500  0.2500
K  0.7500  0.7500  0.7500
Si  0.0000  0.0000  0.0000
F  0.2085  0.2085  0.7915
F  0.2085  0.7915  0.2085
F  0.2085  0.7915  0.7915
F  0.7915  0.2085  0.2085
F  0.7915  0.2085  0.7915
F  0.7915  0.7915  0.2085

Entry 3:
Structure and theoretical X-ray powder pattern of ErCuPbSe3 (the PBE geometry in the Materials Project; λ = 1.5418 Å (Cu Kα)).

Main lines, by angle (5 to 70 degrees two-theta):
2theta  I/Imax
21.28  53
30.76  100
33.93  35
34.17  65
34.38  37
39.27  24
43.34  56
44.76  32
52.86  29
64.07  35

Structural model:
Lattice parameters (Å, degrees): 10.5678 4.0494 13.6338 90.00 90.00 90.00
Fractional coordinates of all 24 atoms:
Er  0.0111  0.2500  0.2443
Er  0.4889  0.7500  0.7443
Er  0.5111  0.2500  0.2557
Er  0.9889  0.7500  0.7557
Cu  0.2432  0.2500  0.7184
Cu  0.2568  0.7500  0.2184
Cu  0.7432  0.2500  0.7816
Cu  0.7568  0.7500  0.2816
Pb  0.2309  0.7500  0.5062
Pb  0.2691  0.2500  0.0062
Pb  0.7309  0.7500  0.9938
Pb  0.7691  0.2500  0.4938
Se  0.0514  0.2500  0.6139
Se  0.0760  0.7500  0.1067
Se  0.2418  0.7500  0.8285
Se  0.2582  0.2500  0.3285
Se  0.4240  0.2500  0.6067
Se  0.4486  0.7500  0.1139
Se  0.5514  0.2500  0.8861
Se  0.5760  0.7500  0.3933
Se  0.7418  0.7500  0.6715
Se  0.7582  0.2500  0.1715
Se  0.9240  0.2500  0.8933
Se  0.9486  0.7500  0.3861

Entry 4:
Structure and theoretical X-ray powder pattern of NaMg6B (the PBE geometry in the Materials Project; λ = 1.5418 Å (Cu Kα)).

Main lines, by angle (5 to 70 degrees two-theta):
2theta  I/Imax
16.18  2
24.55  6
32.68  26
37.20  23
37.73  100
50.34  14
58.20  6
58.37  11
67.42  16
68.40  2

Structural model:
Lattice parameters (Å, degrees): 4.8344 6.3235 6.3235 60.18 90.00 90.00
Fractional coordinates of all 8 atoms:
Na  0.0000  0.0000  0.0000
Mg  0.0000  0.5022  0.9995
Mg  0.0000  0.9995  0.5022
Mg  0.5000  0.3395  0.3395
Mg  0.5000  0.3435  0.8069
Mg  0.5000  0.8069  0.3435
Mg  0.5000  0.8288  0.8288
B  0.0000  0.4949  0.4949

Entry 5:
Structure and theoretical X-ray powder pattern of Rb3Na (the PBE geometry in the Materials Project; λ = 1.5418 Å (Cu Kα)).

Main lines, by angle (5 to 70 degrees two-theta):
2theta  I/Imax
13.27  13
18.81  11
23.09  100
26.73  52
38.16  40
45.07  49
47.20  14
60.49  20
62.24  18
68.96  13

Structural model:
Lattice parameters (Å, degrees): 6.6709 6.6709 6.6709 90.00 90.00 90.00
Fractional coordinates of all 4 atoms:
Rb  0.0000  0.0000  0.5000
Rb  0.0000  0.5000  0.0000
Rb  0.5000  0.0000  0.0000
Na  0.5000  0.5000  0.5000

Entry 6:
Structure and theoretical X-ray powder pattern of TbNiC2 (the PBE geometry in the Materials Project; λ = 1.5418 Å (Cu Kα)).

Main lines, by angle (5 to 70 degrees two-theta):
2theta  I/Imax
24.62  37
29.69  21
35.05  100
38.90  24
39.88  18
49.72  18
50.33  11
50.50  13
56.93  13
69.31  13

Structural model:
Lattice parameters (Å, degrees): 3.6256 3.7636 3.7636 73.83 90.00 90.00
Fractional coordinates of all 4 atoms:
Tb  0.0000  0.0000  0.0000
Ni  0.5000  0.3885  0.3885
C  0.5000  0.5482  0.8518
C  0.5000  0.8518  0.5482